No. 1
# Pu3Zn7Cu2
Theoretical XRD peak list, CuKα. Input: a cell relaxed with PBE.

Principal peaks in the range 5° ≤ 2θ ≤ 70°, low angle first:
19.4 deg, I 19, hkl 1 0 1
31.0 deg, I 50, hkl 1 0 7
33.4 deg, I 53, hkl 1 1 0
33.8 deg, I 24, hkl 0 1 8
38.9 deg, I 33, hkl 0 2 1
39.6 deg, I 100, hkl 1 1 6
42.0 deg, I 14, hkl 0 0 12
58.2 deg, I 18, hkl 2 1 7
63.9 deg, I 24, hkl 3 0 6
64.6 deg, I 14, hkl 2 0 14

Cell and atoms:
a b c (Å): 5.3627 5.3627 25.7887
angles (deg): 90.00 90.00 120.00
Space group R-3m (No. 166, hexagonal axes)
Inequivalent atoms, fractional coordinates:
Pu  0.0000  0.0000  0.0000 [3 per cell]
Pu  0.0000  0.0000  0.1479 [6 per cell]
Zn  0.0000  0.0000  0.5000 [3 per cell]
Zn  0.0017  0.5009  0.9206 [18 per cell]
Cu  0.0000  0.0000  0.3343 [6 per cell]

=====

No. 2
# CaAl10Cr2
Theoretical XRD peak list, CuKα. Input: a cell relaxed with PBE.

Principal peaks in the range 5° ≤ 2θ ≤ 70°, low angle first:
19.5 deg, I 37, hkl 2 2 0
23.2 deg, I 18, hkl 2 1 1
34.3 deg, I 41, hkl 3 3 1
39.6 deg, I 85, hkl 4 4 0
39.7 deg, I 83, hkl 5 1 1
40.3 deg, I 100, hkl 2 2 2
44.5 deg, I 43, hkl 6 2 0
44.6 deg, I 17, hkl 5 3 1
45.1 deg, I 76, hkl 4 0 2
57.7 deg, I 17, hkl 6 2 2

Cell and atoms:
a b c (Å): 12.8842 12.8842 5.1438
angles (deg): 90.00 90.00 90.00
Space group P4/nmm (No. 129, origin choice 2)
Inequivalent atoms, fractional coordinates:
Ca  0.2500  0.2500  0.0199 [2 per cell]
Ca  0.2500  0.7500  0.5000 [2 per cell]
Al  0.0110  0.2500  0.2495 [8 per cell]
Al  0.0754  0.0754  0.9810 [8 per cell]
Al  0.0761  0.5761  0.5000 [8 per cell]
Al  0.1367  0.6367  0.0000 [8 per cell]
Al  0.1413  0.1413  0.5371 [8 per cell]
Cr  0.0096  0.7500  0.2458 [8 per cell]

=====

No. 3
# TlCd4Ga2
Theoretical XRD peak list, CuKα. Input: a cell relaxed with PBE.

Principal peaks in the range 5° ≤ 2θ ≤ 70°, low angle first:
29.3 deg, I 11, hkl 0 4 1
32.2 deg, I 12, hkl 0 6 0
32.6 deg, I 100, hkl 1 3 1
33.5 deg, I 9, hkl 1 5 0
39.3 deg, I 12, hkl 1 5 1
40.2 deg, I 21, hkl 2 0 0
40.5 deg, I 20, hkl 0 0 2
58.4 deg, I 14, hkl 2 0 2
68.3 deg, I 16, hkl 3 3 1
68.7 deg, I 12, hkl 1 3 3

Cell and atoms:
a b c (Å): 4.4825 16.6849 4.4521
angles (deg): 90.00 90.00 90.00
Space group Cmmm (No. 65)
Inequivalent atoms, fractional coordinates:
Tl  0.0000  0.0000  0.0000 [2 per cell]
Cd  0.0000  0.1796  0.5000 [4 per cell]
Cd  0.0000  0.3165  0.0000 [4 per cell]
Ga  0.0000  0.4236  0.5000 [4 per cell]